(1)
Starting from a GGA-PBE-relaxed structure, the X-ray diffraction stick pattern of Ac5U2S12 was simulated for Cu Kα.

Largest 10 diffraction maxima, in order of rising 2θ, 10 to 90 degrees two-theta:
| 2θ (°) | I/Imax | hkl |
| --- | --- | --- |
| 20.7 | 97 | 3 1 0 |
| 22.0 | 100 | 1 1 -2 |
| 23.0 | 36 | 4 0 0 |
| 25.0 | 35 | 0 2 1 |
| 25.4 | 32 | 4 0 -2 |
| 25.6 | 32 | 2 0 2 |
| 30.4 | 46 | 0 2 2 |
| 34.7 | 41 | 6 0 0 |
| 37.9 | 34 | 2 0 -4 |
| 41.8 | 27 | 6 2 -2 |

Atomic structure:
a = 16.2301 Å, b = 7.7412 Å, c = 9.4884 Å
α = 90.00°, β = 107.43°, γ = 90.00°
Space group C2/m (No. 12)
Inequivalent atoms, fractional coordinates:
Ac (0.0000, 0.0000, 0.0000) x2
Ac (0.1903, 0.5000, 0.3284) x4
Ac (0.2012, 0.5000, 0.8612) x4
U (0.0000, 0.2486, 0.5000) x4
S (0.0000, 0.0000, 0.3114) x4
S (0.0018, 0.5000, 0.6974) x4
S (0.1510, 0.2511, 0.0712) x8
S (0.1681, 0.2668, 0.5840) x8

***

(2)
Starting from a GGA-PBE-relaxed structure, the X-ray diffraction stick pattern of SrAlAg2Sn was simulated for Cu Kα.

Largest 10 diffraction maxima, in order of rising 2θ, 10 to 90 degrees two-theta:
| 2θ (°) | I/Imax | hkl |
| --- | --- | --- |
| 15.0 | 17 | 0 0 2 |
| 30.2 | 17 | 1 0 3 |
| 31.7 | 100 | 1 1 2 |
| 39.3 | 22 | 0 2 0 |
| 40.1 | 21 | 2 0 0 |
| 41.6 | 23 | 1 1 4 |
| 43.2 | 16 | 0 1 5 |
| 50.4 | 12 | 0 2 4 |
| 57.4 | 14 | 2 2 0 |
| 66.5 | 12 | 1 3 2 |

Atomic structure:
a = 4.4955 Å, b = 4.5884 Å, c = 11.7795 Å
α = 90.00°, β = 90.00°, γ = 90.00°
Space group Imm2 (No. 44)
Inequivalent atoms, fractional coordinates:
Sr (0.0000, 0.0000, 0.0000) x2
Al (0.0000, 0.0000, 0.3856) x2
Ag (0.0000, 0.0000, 0.6031) x2
Ag (0.0000, 0.5000, 0.2664) x2
Sn (0.0000, 0.5000, 0.7462) x2

***

(3)
Starting from a GGA-PBE-relaxed structure, the X-ray diffraction stick pattern of LaHoTm2S4 was simulated for Cu Kα.

Largest 10 diffraction maxima, in order of rising 2θ, 10 to 90 degrees two-theta:
| 2θ (°) | I/Imax | hkl |
| --- | --- | --- |
| 17.8 | 1 | 1 0 1 |
| 27.7 | 82 | 1 1 2 |
| 32.1 | 100 | 2 0 0 |
| 46.1 | 72 | 2 2 0 |
| 54.6 | 40 | 1 1 6 |
| 57.3 | 25 | 2 2 4 |
| 67.2 | 12 | 4 0 0 |
| 74.2 | 16 | 3 1 6 |
| 76.5 | 32 | 4 2 0 |
| 85.4 | 25 | 4 2 4 |

Atomic structure:
a = 5.5730 Å, b = 5.5730 Å, c = 11.1336 Å
α = 90.00°, β = 90.00°, γ = 90.00°
Space group I4/mmm (No. 139)
Inequivalent atoms, fractional coordinates:
La (0.0000, 0.0000, 0.0000) x2
Ho (0.0000, 0.0000, 0.5000) x2
Tm (0.0000, 0.5000, 0.2500) x4
S (0.0000, 0.0000, 0.2573) x4
S (0.0000, 0.5000, 0.0000) x4

***

(4)
Starting from a GGA-PBE-relaxed structure, the X-ray diffraction stick pattern of Li2Tm5Sn5 was simulated for Cu Kα.

Largest 10 diffraction maxima, in order of rising 2θ, 10 to 90 degrees two-theta:
| 2θ (°) | I/Imax | hkl |
| --- | --- | --- |
| 29.4 | 41 | 2 0 -4 |
| 30.9 | 81 | 2 0 3 |
| 34.0 | 25 | 1 1 4 |
| 35.7 | 16 | 1 1 -5 |
| 37.0 | 100 | 0 2 0 |
| 49.0 | 23 | 2 2 3 |
| 50.6 | 15 | 1 1 7 |
| 62.9 | 22 | 5 1 2 |
| 66.7 | 18 | 6 0 -2 |
| 78.9 | 12 | 0 4 0 |

Atomic structure:
a = 8.4062 Å, b = 4.8569 Å, c = 14.9220 Å
α = 90.00°, β = 100.79°, γ = 90.00°
Space group C2/m (No. 12)
Inequivalent atoms, fractional coordinates:
Li (0.0675, 0.0000, 0.2029) x4
Tm (0.0000, 0.5000, 0.5000) x2
Tm (0.1954, 0.5000, 0.0864) x4
Tm (0.2242, 0.0000, 0.6717) x4
Sn (0.0000, 0.0000, 0.0000) x2
Sn (0.0974, 0.5000, 0.7914) x4
Sn (0.1378, 0.0000, 0.4139) x4

***

(5)
Starting from a GGA-PBE-relaxed structure, the X-ray diffraction stick pattern of SrSm2BeO5 was simulated for Cu Kα.

Largest 10 diffraction maxima, in order of rising 2θ, 10 to 90 degrees two-theta:
| 2θ (°) | I/Imax | hkl |
| --- | --- | --- |
| 28.8 | 36 | 1 2 0 |
| 29.7 | 91 | 1 1 2 |
| 31.0 | 67 | 2 0 2 |
| 31.2 | 100 | 3 1 0 |
| 31.4 | 45 | 1 2 1 |
| 38.3 | 42 | 1 2 2 |
| 40.2 | 36 | 4 1 0 |
| 41.7 | 27 | 2 2 2 |
| 52.5 | 25 | 2 3 2 |
| 56.2 | 28 | 5 1 2 |

Atomic structure:
a = 9.5639 Å, b = 6.5571 Å, c = 7.2229 Å
α = 90.00°, β = 90.00°, γ = 90.00°
Space group Pna2_1 (No. 33)
Inequivalent atoms, fractional coordinates:
Sr (0.1751, 0.0817, 0.0000) x4
Sm (0.0217, 0.5951, 0.7657) x4
Sm (0.1736, 0.0695, 0.5465) x4
Be (0.1013, 0.8071, 0.2679) x4
O (0.0102, 0.0211, 0.2688) x4
O (0.0677, 0.6950, 0.4619) x4
O (0.0713, 0.6833, 0.0762) x4
O (0.2214, 0.3393, 0.2624) x4
O (0.2246, 0.3657, 0.7692) x4

***

(6)
Starting from a GGA-PBE-relaxed structure, the X-ray diffraction stick pattern of TbSm4Er was simulated for Cu Kα.

Largest 10 diffraction maxima, in order of rising 2θ, 10 to 90 degrees two-theta:
| 2θ (°) | I/Imax | hkl |
| --- | --- | --- |
| 30.5 | 100 | 2 0 2 |
| 35.3 | 51 | 3 1 0 |
| 50.8 | 18 | 6 0 0 |
| 50.8 | 18 | 0 2 0 |
| 60.3 | 14 | 5 1 2 |
| 60.4 | 29 | 2 2 2 |
| 63.3 | 6 | 4 0 4 |
| 63.4 | 6 | 2 2 -4 |
| 82.8 | 9 | 0 2 6 |
| 85.4 | 8 | 4 2 4 |

Atomic structure:
a = 11.9365 Å, b = 3.5918 Å, c = 10.1613 Å
α = 90.00°, β = 115.15°, γ = 90.00°
Space group C2/m (No. 12)
Inequivalent atoms, fractional coordinates:
Tb (0.0000, 0.0000, 0.0000) x2
Sm (0.1660, 0.5000, 0.3340) x4
Sm (0.1662, 0.5000, 0.8324) x4
Er (0.0000, 0.0000, 0.5000) x2

***

(7)
Starting from a GGA-PBE-relaxed structure, the X-ray diffraction stick pattern of Pm5Hg6 was simulated for Cu Kα.

Largest 10 diffraction maxima, in order of rising 2θ, 10 to 90 degrees two-theta:
| 2θ (°) | I/Imax | hkl |
| --- | --- | --- |
| 33.4 | 24 | 0 0 6 |
| 33.5 | 100 | 1 2 3 |
| 33.9 | 25 | 2 0 0 |
| 47.9 | 9 | 0 4 0 |
| 48.3 | 17 | 2 0 6 |
| 59.7 | 26 | 0 4 6 |
| 60.0 | 9 | 2 4 0 |
| 60.5 | 19 | 3 2 3 |
| 70.4 | 11 | 2 4 6 |
| 80.0 | 8 | 1 6 3 |

Atomic structure:
a = 5.2840 Å, b = 7.5906 Å, c = 16.1114 Å
α = 90.00°, β = 90.00°, γ = 90.00°
Space group Immm (No. 71)
Inequivalent atoms, fractional coordinates:
Pm (0.0000, 0.0000, 0.0000) x2
Pm (0.0000, 0.0000, 0.3500) x4
Pm (0.0000, 0.5000, 0.3279) x4
Hg (0.0000, 0.2498, 0.1665) x8
Hg (0.0000, 0.2660, 0.5000) x4

***

(8)
Starting from a GGA-PBE-relaxed structure, the X-ray diffraction stick pattern of LiTlHg2Bi was simulated for Cu Kα.

Largest 10 diffraction maxima, in order of rising 2θ, 10 to 90 degrees two-theta:
| 2θ (°) | I/Imax | hkl |
| --- | --- | --- |
| 28.4 | 33 | 0 2 1 |
| 31.1 | 73 | 1 0 2 |
| 31.6 | 46 | 2 0 0 |
| 32.6 | 100 | 1 2 1 |
| 43.0 | 23 | 2 2 1 |
| 48.2 | 19 | 0 2 3 |
| 55.9 | 15 | 3 0 2 |
| 56.8 | 21 | 3 2 1 |
| 58.7 | 21 | 2 2 3 |
| 61.2 | 15 | 1 4 2 |

Atomic structure:
a = 5.6710 Å, b = 7.1211 Å, c = 6.6848 Å
α = 90.00°, β = 90.00°, γ = 90.00°
Space group Pmma (No. 51)
Inequivalent atoms, fractional coordinates:
Li (0.0000, 0.0000, 0.0000) x2
Tl (0.2500, 0.5000, 0.3293) x2
Hg (0.2500, 0.2869, 0.8294) x4
Bi (0.2500, 0.0000, 0.3930) x2